# 1
Simulated X-ray diffraction stick pattern of Sr5Tl2Bi5 for λ = 1.5418 Å (Cu Kα), from a DFT-relaxed cell (PBE, Alexandria).
Lines closer than 0.1° are merged.

The 12 most intense peaks (2θ = 15–90°), most intense first:
two_theta	I (rel.)
31.46	1000
30.86	457
36.29	337
18.92	324
28.63	256
32.54	227
29.33	224
22.77	211
62.29	168
39.32	157
49.53	156
57.73	129

Atomic structure:
a b c (Å): 9.6555 9.6555 12.0485
angles (deg): 126.71 126.71 29.71
Fractional coordinates of all 12 atoms:
Sr 0.0000 0.0000 0.0000
Sr 0.1014 0.1014 0.4055
Sr 0.1795 0.1795 0.8144
Sr 0.8205 0.8205 0.1856
Sr 0.8986 0.8986 0.5945
Tl 0.3625 0.3625 0.7935
Tl 0.6375 0.6375 0.2065
Bi 0.2727 0.2727 0.3443
Bi 0.4294 0.4294 0.1413
Bi 0.5000 0.5000 0.5000
Bi 0.5706 0.5706 0.8587
Bi 0.7273 0.7273 0.6557

# 2
Simulated X-ray diffraction stick pattern of SrTl2ZnBi2 for λ = 1.5418 Å (Cu Kα), from a DFT-relaxed cell (PBE, Alexandria).
Lines closer than 0.1° are merged.

The 12 most intense peaks (2θ = 15–90°), most intense first:
two_theta	I (rel.)
30.22	1000
27.76	896
36.84	476
39.56	472
32.29	432
34.81	345
23.10	272
28.76	267
51.58	229
28.47	210
63.97	190
47.38	179

Atomic structure:
a b c (Å): 4.8794 10.1050 7.9973
angles (deg): 90.00 90.00 90.00
Fractional coordinates of all 12 atoms:
Sr 0.0000 0.0423 0.0000
Sr 0.0000 0.9577 0.5000
Tl 0.0000 0.3563 0.3249
Tl 0.0000 0.6437 0.8249
Tl 0.5000 0.3956 0.0030
Tl 0.5000 0.6044 0.5030
Zn 0.5000 0.1522 0.6673
Zn 0.5000 0.8478 0.1673
Bi 0.0000 0.3007 0.7247
Bi 0.0000 0.6993 0.2247
Bi 0.5000 0.1250 0.2826
Bi 0.5000 0.8750 0.7826

# 3
Simulated X-ray diffraction stick pattern of Sr3ZnBi3 for λ = 1.5418 Å (Cu Kα), from a DFT-relaxed cell (PBE, Alexandria).
Lines closer than 0.1° are merged.

The 12 most intense peaks (2θ = 15–90°), most intense first:
two_theta	I (rel.)
25.61	1000
36.40	999
36.53	541
22.08	526
25.42	436
45.03	374
59.38	332
65.67	317
43.10	197
52.63	190
59.05	128
65.41	124

Atomic structure:
a b c (Å): 11.0072 11.0072 13.9127
angles (deg): 90.00 90.00 37.12
Fractional coordinates of all 28 atoms:
Sr 0.0410 0.6151 0.1281
Sr 0.1151 0.5410 0.6281
Sr 0.2092 0.7908 0.8598
Sr 0.2908 0.7092 0.3598
Sr 0.3849 0.9590 0.1281
Sr 0.4590 0.8849 0.6281
Sr 0.5410 0.1151 0.3719
Sr 0.6151 0.0410 0.8719
Sr 0.7092 0.2908 0.6402
Sr 0.7908 0.2092 0.1402
Sr 0.8849 0.4590 0.3719
Sr 0.9590 0.3849 0.8719
Zn 0.0853 0.0853 0.5000
Zn 0.4147 0.4147 0.0000
Zn 0.5853 0.5853 0.0000
Zn 0.9147 0.9147 0.5000
Bi 0.0581 0.6159 0.3773
Bi 0.1159 0.5581 0.8773
Bi 0.2228 0.7772 0.6129
Bi 0.2772 0.7228 0.1129
Bi 0.3841 0.9419 0.3773
Bi 0.4419 0.8841 0.8773
Bi 0.5581 0.1159 0.1227
Bi 0.6159 0.0581 0.6227
Bi 0.7228 0.2772 0.8871
Bi 0.7772 0.2228 0.3871
Bi 0.8841 0.4419 0.1227
Bi 0.9419 0.3841 0.6227

# 4
Simulated X-ray diffraction stick pattern of Sr3Zn3Bi for λ = 1.5418 Å (Cu Kα), from a DFT-relaxed cell (PBE, Alexandria).
Lines closer than 0.1° are merged.

The 12 most intense peaks (2θ = 15–90°), most intense first:
two_theta	I (rel.)
32.49	1000
27.43	465
17.08	411
26.22	294
48.16	277
38.23	251
36.01	195
40.95	164
25.54	144
46.26	141
56.63	135
65.52	132

Atomic structure:
a b c (Å): 10.3840 10.3840 4.7078
angles (deg): 90.00 90.00 120.00
Fractional coordinates of all 14 atoms:
Sr 0.1043 0.4102 0.2500
Sr 0.3059 0.8957 0.2500
Sr 0.4102 0.3059 0.7500
Sr 0.5898 0.6941 0.2500
Sr 0.6941 0.1043 0.7500
Sr 0.8957 0.5898 0.7500
Zn 0.0365 0.1642 0.7500
Zn 0.1277 0.9635 0.7500
Zn 0.1642 0.1277 0.2500
Zn 0.8358 0.8723 0.7500
Zn 0.8723 0.0365 0.2500
Zn 0.9635 0.8358 0.2500
Bi 0.3333 0.6667 0.7500
Bi 0.6667 0.3333 0.2500

# 5
Simulated X-ray diffraction stick pattern of SrZnBi3 for λ = 1.5418 Å (Cu Kα), from a DFT-relaxed cell (PBE, Alexandria).
Lines closer than 0.1° are merged.

The 12 most intense peaks (2θ = 15–90°), most intense first:
two_theta	I (rel.)
31.74	1000
28.72	499
18.38	276
26.79	250
22.42	241
42.76	214
37.44	171
37.22	168
29.71	127
25.35	126
38.90	122
39.65	116

Atomic structure:
a b c (Å): 6.6547 7.0261 9.6121
angles (deg): 90.00 133.75 90.00
Fractional coordinates of all 10 atoms:
Sr 0.0000 0.2264 0.0000
Sr 0.0000 0.7736 0.5000
Zn 0.3281 0.3809 0.5010
Zn 0.3281 0.6191 0.0010
Bi 0.2270 0.3067 0.7514
Bi 0.2270 0.6933 0.2514
Bi 0.6149 0.0922 0.4995
Bi 0.6149 0.9078 0.9995
Bi 0.7254 0.3067 0.2488
Bi 0.7254 0.6933 0.7488

# 6
Simulated X-ray diffraction stick pattern of Sr2ZnBi3 for λ = 1.5418 Å (Cu Kα), from a DFT-relaxed cell (PBE, Alexandria).
Lines closer than 0.1° are merged.

The 12 most intense peaks (2θ = 15–90°), most intense first:
two_theta	I (rel.)
28.76	1000
33.70	532
18.83	512
51.83	318
26.18	264
38.18	258
39.66	232
38.88	211
41.41	210
44.25	181
58.69	179
21.54	176

Atomic structure:
a b c (Å): 4.5448 4.7138 9.8389
angles (deg): 90.00 90.00 90.00
Fractional coordinates of all 6 atoms:
Sr 0.0000 0.0000 0.0000
Sr 0.5000 0.0000 0.4771
Zn 0.5000 0.5000 0.1514
Bi 0.0000 0.5000 0.3047
Bi 0.0000 0.5000 0.6307
Bi 0.5000 0.5000 0.8720

# 7
Simulated X-ray diffraction stick pattern of Sr2ZnBi2 for λ = 1.5418 Å (Cu Kα), from a DFT-relaxed cell (PBE, Alexandria).
Lines closer than 0.1° are merged.

The 12 most intense peaks (2θ = 15–90°), most intense first:
two_theta	I (rel.)
29.68	1000
23.72	849
37.51	652
57.03	389
37.72	266
48.54	246
20.33	222
62.91	218
43.03	203
41.33	174
44.86	160
59.87	135

Atomic structure:
a b c (Å): 9.5870 8.3094 8.7379
angles (deg): 90.00 90.00 90.00
Fractional coordinates of all 20 atoms:
Sr 0.1069 0.2500 0.0000
Sr 0.1069 0.2500 0.5000
Sr 0.3638 0.7500 0.0000
Sr 0.3638 0.7500 0.5000
Sr 0.6362 0.2500 0.0000
Sr 0.6362 0.2500 0.5000
Sr 0.8931 0.7500 0.0000
Sr 0.8931 0.7500 0.5000
Zn 0.3820 0.0803 0.2500
Zn 0.3820 0.4197 0.7500
Zn 0.6180 0.5803 0.2500
Zn 0.6180 0.9197 0.7500
Bi 0.1304 0.5726 0.7500
Bi 0.1304 0.9274 0.2500
Bi 0.3645 0.0858 0.7500
Bi 0.3645 0.4142 0.2500
Bi 0.6355 0.5858 0.7500
Bi 0.6355 0.9142 0.2500
Bi 0.8696 0.0726 0.7500
Bi 0.8696 0.4274 0.2500

# 8
Simulated X-ray diffraction stick pattern of Tb5Bi2 for λ = 1.5418 Å (Cu Kα), from a DFT-relaxed cell (PBE, Alexandria).
Lines closer than 0.1° are merged.

The 12 most intense peaks (2θ = 15–90°), most intense first:
two_theta	I (rel.)
32.29	1000
34.88	606
29.12	443
31.87	409
31.55	371
36.75	302
55.84	185
33.75	176
33.26	170
37.77	157
29.90	152
51.72	131

Atomic structure:
a b c (Å): 8.7290 8.7290 8.4497
angles (deg): 95.42 95.42 42.98
Fractional coordinates of all 14 atoms:
Tb 0.1220 0.3299 0.3121
Tb 0.1749 0.8251 0.7500
Tb 0.2582 0.5340 0.0613
Tb 0.3299 0.1220 0.8121
Tb 0.4660 0.7418 0.4387
Tb 0.5340 0.2582 0.5613
Tb 0.6701 0.8780 0.1879
Tb 0.7418 0.4660 0.9387
Tb 0.8251 0.1749 0.2500
Tb 0.8780 0.6701 0.6879
Bi 0.0745 0.7279 0.4149
Bi 0.2721 0.9255 0.0851
Bi 0.7279 0.0745 0.9149
Bi 0.9255 0.2721 0.5851